Structure and calculated X-ray diffraction stick pattern of TaNbSn2Ir2 (a cell relaxed with PBE; CuKα).
Neutral-atom scattering factors, no anomalous dispersion.

Atomic structure:
a = 8.813 Å, b = 4.407 Å, c = 13.220 Å
α = 90.00°, β = 109.47°, γ = 90.00°
Space group Pm (No. 6)
One atom of each set of equivalent atoms:
Ta1 0.000 0.000 0.000 x1
Ta2 0.125 0.500 0.750 x1
Ta3 0.250 0.000 0.500 x1
Ta4 0.500 0.000 0.000 x1
Nb1 0.375 0.500 0.250 x1
Nb2 0.625 0.500 0.750 x1
Nb3 0.750 0.000 0.500 x1
Nb4 0.875 0.500 0.250 x1
Sn1 0.000 0.500 0.500 x1
Sn2 0.125 0.000 0.250 x1
Sn3 0.250 0.500 0.000 x1
Sn4 0.375 0.000 0.750 x1
Sn5 0.500 0.500 0.500 x1
Sn6 0.625 0.000 0.250 x1
Sn7 0.750 0.500 0.000 x1
Sn8 0.875 0.000 0.750 x1
Ir1 0.062 0.500 0.124 x1
Ir2 0.188 0.000 0.875 x1
Ir3 0.312 0.500 0.625 x1
Ir4 0.437 0.000 0.375 x1
Ir5 0.562 0.500 0.124 x1
Ir6 0.688 0.000 0.876 x1
Ir7 0.814 0.500 0.625 x1
Ir8 0.939 0.000 0.375 x1

Main lines, low angle first (15° ≤ 2θ ≤ 90°):
d = 3.598 Å, intensity 444, hkl 2 0 1
d = 3.116 Å, intensity 32, hkl 0 0 4
d = 2.203 Å, intensity 1000, hkl 2 1 3
d = 1.879 Å, intensity 223, hkl 4 1 0
d = 1.558 Å, intensity 171, hkl 0 0 8
d = 1.430 Å, intensity 92, hkl 2 2 5
d = 1.394 Å, intensity 12, hkl 4 2 2
d = 1.272 Å, intensity 352, hkl 6 1 1
d = 1.199 Å, intensity 70, hkl 6 0 3
d = 1.102 Å, intensity 118, hkl 4 2 6

***

Structure and calculated X-ray diffraction stick pattern of TaNb2Ir (a cell relaxed with PBE; CuKα).
Neutral-atom scattering factors, no anomalous dispersion.

Atomic structure:
a = 5.160 Å, b = 7.325 Å, c = 7.325 Å
α = 90.00°, β = 90.00°, γ = 90.00°
Space group Ama2 (No. 40)
One atom of each set of equivalent atoms:
Ta1 0.250 0.125 0.000 x4
Nb1 0.000 0.000 0.625 x4
Nb2 0.250 0.375 0.750 x4
Ir1 0.250 0.252 0.375 x4

Main lines, low angle first (15° ≤ 2θ ≤ 90°):
d = 3.660 Å, intensity 145, hkl 0 0 2
d = 2.590 Å, intensity 242, hkl 0 2 2
d = 2.580 Å, intensity 199, hkl 2 0 0
d = 2.315 Å, intensity 569, hkl 1 2 2
d = 2.309 Å, intensity 242, hkl 2 1 1
d = 2.112 Å, intensity 1000, hkl 1 3 1
d = 1.383 Å, intensity 329, hkl 1 1 5
d = 1.381 Å, intensity 185, hkl 3 3 1
d = 1.158 Å, intensity 106, hkl 2 4 4
d = 1.130 Å, intensity 117, hkl 1 6 2

***

Structure and calculated X-ray diffraction stick pattern of TaNb2Ir (a cell relaxed with PBE; CuKα).
Neutral-atom scattering factors, no anomalous dispersion.

Atomic structure:
a = 5.160 Å, b = 5.160 Å, c = 5.200 Å
α = 90.00°, β = 90.00°, γ = 90.00°
Space group P4_2/mmc (No. 131)
One atom of each set of equivalent atoms:
Ta1 0.000 0.000 0.250 x2
Nb1 0.249 0.500 0.000 x4
Ir1 0.000 0.500 0.500 x2

Main lines, low angle first (15° ≤ 2θ ≤ 90°):
d = 5.160 Å, intensity 200, hkl 1 0 0
d = 3.663 Å, intensity 228, hkl 1 0 1
d = 2.580 Å, intensity 746, hkl 2 0 0
d = 2.322 Å, intensity 614, hkl 1 0 2
d = 2.309 Å, intensity 902, hkl 2 1 0
d = 2.117 Å, intensity 855, hkl 1 1 2
d = 2.109 Å, intensity 1000, hkl 2 1 1
d = 1.386 Å, intensity 258, hkl 2 1 3
d = 1.382 Å, intensity 436, hkl 3 1 2
d = 1.380 Å, intensity 258, hkl 3 2 1

***

Structure and calculated X-ray diffraction stick pattern of NbTe4Ir (a cell relaxed with PBE; CuKα).
Neutral-atom scattering factors, no anomalous dispersion.

Atomic structure:
a = 3.810 Å, b = 12.687 Å, c = 13.359 Å
α = 90.00°, β = 90.00°, γ = 90.00°
Space group Pmn2_1 (No. 31)
One atom of each set of equivalent atoms:
Nb1 0.000 0.056 0.000 x2
Nb2 0.000 0.269 0.487 x2
Te1 0.000 0.066 0.388 x2
Te2 0.000 0.194 0.850 x2
Te3 0.000 0.347 0.090 x2
Te4 0.000 0.413 0.633 x2
Te5 0.000 0.563 0.392 x2
Te6 0.000 0.677 0.843 x2
Te7 0.000 0.852 0.102 x2
Te8 0.000 0.890 0.643 x2
Ir1 0.000 0.536 0.995 x2
Ir2 0.000 0.753 0.487 x2

Main lines, low angle first (15° ≤ 2θ ≤ 90°):
d = 3.086 Å, intensity 283, hkl 0 4 1
d = 2.934 Å, intensity 1000, hkl 1 2 2
d = 2.865 Å, intensity 219, hkl 0 4 2
d = 2.634 Å, intensity 849, hkl 1 2 3
d = 2.583 Å, intensity 224, hkl 0 4 3
d = 2.300 Å, intensity 226, hkl 0 4 4
d = 2.290 Å, intensity 205, hkl 1 4 2
d = 2.068 Å, intensity 388, hkl 1 2 5
d = 1.905 Å, intensity 278, hkl 2 0 0
d = 1.832 Å, intensity 317, hkl 1 6 1